(1)
For Nd5Zn4Pd, a cell relaxed with PBE gives the simulated PXRD pattern in this record (Cu Kα (λ = 1.5418 Å)).
Intensities are scaled so that the largest is 100.

Largest 10 diffraction maxima, in order of falling intensity, 5 to 70 degrees two-theta:
| d [Å] | 2theta | Rel. int. |
| --- | --- | --- |
| 2.592 | 34.61 | 100 |
| 2.613 | 34.33 | 51 |
| 1.504 | 61.66 | 37 |
| 1.847 | 49.33 | 18 |
| 1.493 | 62.20 | 18 |
| 3.695 | 24.09 | 11 |
| 1.819 | 50.16 | 8 |
| 3.637 | 24.47 | 5 |
| 2.122 | 42.61 | 5 |
| 1.652 | 55.62 | 2 |

Structural model:
```
data_Nd5Zn4Pd
_chemical_formula_sum 'Nd5 Zn4 Pd1'
_cell_length_a 3.695
_cell_length_b 3.695
_cell_length_c 18.186
_cell_angle_alpha 90.00
_cell_angle_beta 90.00
_cell_angle_gamma 90.00
_symmetry_space_group_name_H-M 'P 4/m m m'
_symmetry_Int_Tables_number 123
_symmetry_space_group_name_Hall '-P 4 2'
loop_
_atom_site_label
_atom_site_fract_x
_atom_site_fract_y
_atom_site_fract_z
_atom_site_occupancy
Nd1 0.000 0.000 0.000 1
Nd2 0.000 0.000 0.202 1
Nd3 0.000 0.000 0.404 1
Zn1 0.500 0.500 0.102 1
Zn2 0.500 0.500 0.301 1
Pd1 0.500 0.500 0.500 1
```


(2)
For ThCdNi, a cell relaxed with PBE gives the simulated PXRD pattern in this record (Cu Kα (λ = 1.5418 Å)).
Intensities are scaled so that the largest is 100.

Largest 10 diffraction maxima, in order of falling intensity, 5 to 70 degrees two-theta:
| d [Å] | 2theta | Rel. int. |
| --- | --- | --- |
| 2.694 | 33.26 | 100 |
| 3.085 | 28.94 | 68 |
| 2.917 | 30.65 | 62 |
| 2.182 | 41.38 | 54 |
| 2.529 | 35.49 | 40 |
| 2.388 | 37.67 | 38 |
| 2.942 | 30.39 | 28 |
| 1.652 | 55.63 | 22 |
| 1.955 | 46.44 | 20 |
| 1.815 | 50.26 | 18 |

Structural model:
```
data_ThCdNi
_chemical_formula_sum 'Th4 Cd4 Ni4'
_cell_length_a 11.976
_cell_length_b 4.364
_cell_length_c 5.149
_cell_angle_alpha 90.00
_cell_angle_beta 100.74
_cell_angle_gamma 90.00
_symmetry_space_group_name_H-M 'C 1 2/m 1'
_symmetry_Int_Tables_number 12
_symmetry_space_group_name_Hall '-C 2y'
loop_
_atom_site_label
_atom_site_fract_x
_atom_site_fract_y
_atom_site_fract_z
_atom_site_occupancy
Th1 0.137 0.000 0.302 1
Cd1 0.080 0.500 0.783 1
Ni1 0.224 0.000 0.838 1
```


(3)
For Cd4GaBi, a cell relaxed with PBE gives the simulated PXRD pattern in this record (Cu Kα (λ = 1.5418 Å)).
Intensities are scaled so that the largest is 100.

Largest 10 diffraction maxima, in order of falling intensity, 5 to 70 degrees two-theta:
| d [Å] | 2theta | Rel. int. |
| --- | --- | --- |
| 2.647 | 33.86 | 100 |
| 2.298 | 39.20 | 37 |
| 1.385 | 67.65 | 26 |
| 1.619 | 56.87 | 17 |
| 2.936 | 30.45 | 13 |
| 2.281 | 39.50 | 12 |
| 13.687 | 6.46 | 12 |
| 1.625 | 56.64 | 12 |
| 1.760 | 51.95 | 7 |
| 2.737 | 32.72 | 6 |

Structural model:
```
data_Cd4GaBi
_chemical_formula_sum 'Cd4 Ga1 Bi1'
_cell_length_a 3.250
_cell_length_b 3.250
_cell_length_c 13.687
_cell_angle_alpha 90.00
_cell_angle_beta 90.00
_cell_angle_gamma 90.00
_symmetry_space_group_name_H-M 'P 4/m m m'
_symmetry_Int_Tables_number 123
_symmetry_space_group_name_Hall '-P 4 2'
loop_
_atom_site_label
_atom_site_fract_x
_atom_site_fract_y
_atom_site_fract_z
_atom_site_occupancy
Cd1 0.000 0.000 0.152 1
Cd2 0.500 0.500 0.309 1
Ga1 0.500 0.500 0.000 1
Bi1 0.000 0.000 0.500 1
```


(4)
For Pm5PrI12, a cell relaxed with PBE gives the simulated PXRD pattern in this record (Cu Kα (λ = 1.5418 Å)).
Intensities are scaled so that the largest is 100.

Largest 10 diffraction maxima, in order of falling intensity, 5 to 70 degrees two-theta:
| d [Å] | 2theta | Rel. int. |
| --- | --- | --- |
| 3.342 | 26.67 | 100 |
| 3.044 | 29.34 | 90 |
| 8.240 | 10.74 | 79 |
| 2.448 | 36.71 | 51 |
| 2.093 | 43.23 | 50 |
| 2.733 | 32.76 | 37 |
| 2.196 | 41.10 | 32 |
| 3.567 | 24.96 | 30 |
| 2.112 | 42.81 | 19 |
| 1.571 | 58.76 | 18 |

Structural model:
```
data_Pm5PrI12
_chemical_formula_sum 'Pm10 Pr2 I24'
_cell_length_a 7.307
_cell_length_b 12.673
_cell_length_c 16.480
_cell_angle_alpha 90.00
_cell_angle_beta 90.05
_cell_angle_gamma 90.00
_symmetry_space_group_name_H-M 'C 1 2/m 1'
_symmetry_Int_Tables_number 12
_symmetry_space_group_name_Hall '-C 2y'
loop_
_atom_site_label
_atom_site_fract_x
_atom_site_fract_y
_atom_site_fract_z
_atom_site_occupancy
Pm1 0.000 0.000 0.000 1
Pm2 0.000 0.167 0.500 1
Pm3 0.000 0.333 0.000 1
Pr1 0.000 0.500 0.500 1
I1 0.162 0.000 0.624 1
I2 0.166 0.167 0.877 1
I3 0.166 0.500 0.877 1
I4 0.169 0.331 0.624 1
```


(5)
For LaYEr5, a cell relaxed with PBE gives the simulated PXRD pattern in this record (Cu Kα (λ = 1.5418 Å)).
Intensities are scaled so that the largest is 100.

Largest 10 diffraction maxima, in order of falling intensity, 5 to 70 degrees two-theta:
| d [Å] | 2theta | Rel. int. |
| --- | --- | --- |
| 2.665 | 33.63 | 100 |
| 2.876 | 31.10 | 28 |
| 2.844 | 31.46 | 26 |
| 1.617 | 56.96 | 16 |
| 2.022 | 44.82 | 15 |
| 2.696 | 33.23 | 14 |
| 3.246 | 27.48 | 13 |
| 1.605 | 57.40 | 13 |
| 1.508 | 61.48 | 12 |
| 5.751 | 15.41 | 9 |

Structural model:
```
data_LaYEr5
_chemical_formula_sum 'La4 Y4 Er20'
_cell_length_a 7.087
_cell_length_b 11.503
_cell_length_c 11.376
_cell_angle_alpha 90.00
_cell_angle_beta 90.00
_cell_angle_gamma 90.00
_symmetry_space_group_name_H-M 'I m m a'
_symmetry_Int_Tables_number 74
_symmetry_space_group_name_Hall '-I 2b 2'
loop_
_atom_site_label
_atom_site_fract_x
_atom_site_fract_y
_atom_site_fract_z
_atom_site_occupancy
La1 0.250 0.250 0.250 1
Y1 0.000 0.250 0.544 1
Er1 0.000 0.033 0.751 1
Er2 0.000 0.250 0.958 1
Er3 0.250 0.000 0.000 1
```


(6)
For K4NdU3S12, a cell relaxed with PBE gives the simulated PXRD pattern in this record (Cu Kα (λ = 1.5418 Å)).
Intensities are scaled so that the largest is 100.

Largest 10 diffraction maxima, in order of falling intensity, 5 to 70 degrees two-theta:
| d [Å] | 2theta | Rel. int. |
| --- | --- | --- |
| 3.705 | 24.02 | 100 |
| 5.240 | 16.92 | 98 |
| 2.620 | 34.22 | 54 |
| 2.343 | 38.41 | 52 |
| 2.139 | 42.24 | 46 |
| 1.853 | 49.18 | 37 |
| 1.747 | 52.38 | 27 |
| 1.401 | 66.80 | 25 |
| 1.657 | 55.45 | 22 |
| 1.513 | 61.28 | 13 |

Structural model:
```
data_K4NdU3S12
_chemical_formula_sum 'K8 Nd2 U6 S24'
_cell_length_a 10.480
_cell_length_b 10.480
_cell_length_c 10.480
_cell_angle_alpha 90.00
_cell_angle_beta 90.00
_cell_angle_gamma 90.00
_symmetry_space_group_name_H-M 'I m -3 m'
_symmetry_Int_Tables_number 229
_symmetry_space_group_name_Hall '-I 4 2 3'
loop_
_atom_site_label
_atom_site_fract_x
_atom_site_fract_y
_atom_site_fract_z
_atom_site_occupancy
K1 0.250 0.250 0.250 1
Nd1 0.000 0.000 0.000 1
U1 0.000 0.000 0.500 1
S1 0.000 0.000 0.263 1
S2 0.000 0.250 0.500 1
```


(7)
For TcMoW14, a cell relaxed with PBE gives the simulated PXRD pattern in this record (Cu Kα (λ = 1.5418 Å)).
Intensities are scaled so that the largest is 100.

Largest 8 diffraction maxima, in order of falling intensity, 5 to 70 degrees two-theta:
| d [Å] | 2theta | Rel. int. |
| --- | --- | --- |
| 2.248 | 40.10 | 100 |
| 1.589 | 58.03 | 21 |
| 2.243 | 40.20 | 20 |
| 8.999 | 9.83 | 2 |
| 4.493 | 19.76 | 1 |
| 4.015 | 22.14 | 1 |
| 2.494 | 36.02 | 1 |
| 3.179 | 28.07 | 1 |

Structural model:
```
data_TcMoW14
_chemical_formula_sum 'Tc2 Mo2 W28'
_cell_length_a 6.363
_cell_length_b 8.972
_cell_length_c 8.999
_cell_angle_alpha 90.00
_cell_angle_beta 90.00
_cell_angle_gamma 90.00
_symmetry_space_group_name_H-M 'C m m m'
_symmetry_Int_Tables_number 65
_symmetry_space_group_name_Hall '-C 2 2'
loop_
_atom_site_label
_atom_site_fract_x
_atom_site_fract_y
_atom_site_fract_z
_atom_site_occupancy
Tc1 0.000 0.000 0.000 1
Mo1 0.000 0.500 0.000 1
W1 0.000 0.000 0.500 1
W2 0.000 0.250 0.249 1
W3 0.000 0.500 0.500 1
W4 0.250 0.000 0.250 1
W5 0.250 0.250 0.000 1
W6 0.250 0.250 0.500 1
```


(8)
For NdCu5Hg, a cell relaxed with PBE gives the simulated PXRD pattern in this record (Cu Kα (λ = 1.5418 Å)).
Intensities are scaled so that the largest is 100.

Largest 10 diffraction maxima, in order of falling intensity, 5 to 70 degrees two-theta:
| d [Å] | 2theta | Rel. int. |
| --- | --- | --- |
| 2.387 | 37.68 | 100 |
| 2.048 | 44.23 | 61 |
| 2.008 | 45.15 | 35 |
| 2.555 | 35.12 | 32 |
| 2.137 | 42.29 | 31 |
| 1.355 | 69.35 | 30 |
| 2.899 | 30.84 | 29 |
| 1.429 | 65.30 | 26 |
| 2.224 | 40.55 | 25 |
| 2.740 | 32.68 | 24 |

Structural model:
```
data_NdCu5Hg
_chemical_formula_sum 'Nd4 Cu20 Hg4'
_cell_length_a 8.387
_cell_length_b 5.111
_cell_length_c 10.562
_cell_angle_alpha 90.00
_cell_angle_beta 90.00
_cell_angle_gamma 90.00
_symmetry_space_group_name_H-M 'P n m a'
_symmetry_Int_Tables_number 62
_symmetry_space_group_name_Hall '-P 2ac 2n'
loop_
_atom_site_label
_atom_site_fract_x
_atom_site_fract_y
_atom_site_fract_z
_atom_site_occupancy
Nd1 0.243 0.250 0.064 1
Cu1 0.055 0.750 0.111 1
Cu2 0.068 0.000 0.314 1
Cu3 0.081 0.250 0.516 1
Cu4 0.185 0.250 0.742 1
Hg1 0.137 0.750 0.865 1
```


(9)
For Tb8DySc5, a cell relaxed with PBE gives the simulated PXRD pattern in this record (Cu Kα (λ = 1.5418 Å)).
Intensities are scaled so that the largest is 100.

Largest 10 diffraction maxima, in order of falling intensity, 5 to 70 degrees two-theta:
| d [Å] | 2theta | Rel. int. |
| --- | --- | --- |
| 2.768 | 32.34 | 100 |
| 2.643 | 33.92 | 84 |
| 2.740 | 32.69 | 82 |
| 3.396 | 26.24 | 72 |
| 2.712 | 33.03 | 48 |
| 4.162 | 21.35 | 41 |
| 2.830 | 31.62 | 36 |
| 2.447 | 36.72 | 34 |
| 5.542 | 15.99 | 29 |
| 2.815 | 31.79 | 28 |

Structural model:
```
data_Tb8DySc5
_chemical_formula_sum 'Tb16 Dy2 Sc10'
_cell_length_a 11.978
_cell_length_b 11.085
_cell_length_c 8.599
_cell_angle_alpha 90.00
_cell_angle_beta 132.86
_cell_angle_gamma 90.00
_symmetry_space_group_name_H-M 'C 1 2 1'
_symmetry_Int_Tables_number 5
_symmetry_space_group_name_Hall 'C 2y'
loop_
_atom_site_label
_atom_site_fract_x
_atom_site_fract_y
_atom_site_fract_z
_atom_site_occupancy
Tb1 0.071 0.000 0.348 1
Tb2 0.073 0.574 0.303 1
Tb3 0.173 0.326 0.070 1
Tb4 0.236 0.513 0.805 1
Dy1 0.000 0.799 0.000 1
Sc1 0.000 0.769 0.500 1
Sc2 0.136 0.291 0.458 1
Sc3 0.217 0.124 0.806 1
```


(10)
For RbBi2I6, a cell relaxed with PBE gives the simulated PXRD pattern in this record (Cu Kα (λ = 1.5418 Å)).
Intensities are scaled so that the largest is 100.

Largest 10 diffraction maxima, in order of falling intensity, 5 to 70 degrees two-theta:
| d [Å] | 2theta | Rel. int. |
| --- | --- | --- |
| 7.181 | 12.33 | 100 |
| 3.052 | 29.26 | 72 |
| 3.281 | 27.18 | 54 |
| 6.030 | 14.69 | 52 |
| 9.688 | 9.13 | 52 |
| 5.946 | 14.90 | 44 |
| 9.236 | 9.58 | 43 |
| 3.595 | 24.76 | 41 |
| 2.614 | 34.31 | 36 |
| 5.899 | 15.02 | 33 |

Structural model:
```
data_RbBi2I6
_chemical_formula_sum 'Rb4 Bi8 I24'
_cell_length_a 15.866
_cell_length_b 14.363
_cell_length_c 12.503
_cell_angle_alpha 90.00
_cell_angle_beta 124.19
_cell_angle_gamma 90.00
_symmetry_space_group_name_H-M 'C 1 2/c 1'
_symmetry_Int_Tables_number 15
_symmetry_space_group_name_Hall '-C 2yc'
loop_
_atom_site_label
_atom_site_fract_x
_atom_site_fract_y
_atom_site_fract_z
_atom_site_occupancy
Rb1 0.000 0.072 0.250 1
Bi1 0.129 0.443 0.212 1
I1 0.117 0.474 0.461 1
I2 0.126 0.248 0.155 1
I3 0.144 0.039 0.618 1
```


(11)
For ThNp2FeN5, a cell relaxed with PBE gives the simulated PXRD pattern in this record (Cu Kα (λ = 1.5418 Å)).
Intensities are scaled so that the largest is 100.

Largest 10 diffraction maxima, in order of falling intensity, 5 to 70 degrees two-theta:
| d [Å] | 2theta | Rel. int. |
| --- | --- | --- |
| 2.759 | 32.45 | 100 |
| 2.254 | 40.00 | 48 |
| 2.769 | 32.33 | 28 |
| 3.493 | 25.50 | 27 |
| 1.748 | 52.35 | 25 |
| 1.530 | 60.53 | 18 |
| 2.013 | 45.02 | 17 |
| 1.628 | 56.51 | 14 |
| 1.424 | 65.54 | 14 |
| 1.449 | 64.31 | 12 |

Structural model:
```
data_ThNp2FeN5
_chemical_formula_sum 'Th4 Np8 Fe4 N20'
_cell_length_a 6.367
_cell_length_b 6.367
_cell_length_c 11.075
_cell_angle_alpha 90.00
_cell_angle_beta 90.00
_cell_angle_gamma 90.00
_symmetry_space_group_name_H-M 'I 4/m c m'
_symmetry_Int_Tables_number 140
_symmetry_space_group_name_Hall '-I 4 2c'
loop_
_atom_site_label
_atom_site_fract_x
_atom_site_fract_y
_atom_site_fract_z
_atom_site_occupancy
Th1 0.000 0.000 0.250 1
Np1 0.168 0.332 0.000 1
Fe1 0.000 0.500 0.250 1
N1 0.000 0.000 0.000 1
N2 0.151 0.349 0.362 1
```